The following is a simulated X-ray diffraction stick pattern of MnW2. It was derived from a cell relaxed with PBE, using Cu Ka.

Crystal structure
Unit cell a=5.0617 b=5.0617 c=5.0617 alpha=144.25 beta=144.25 gamma=51.45
Element x y z (fractional)
Mn 0.0000 0.0000 0.0000
W 0.3372 0.3372 0.0000
W 0.6628 0.6628 0.0000

The 10 most intense peaks (2θ = 10–90°), in order of falling intensity:
d/Å, Position (°2θ), I/Imax
2.173, 41.6, 100
2.197, 41.1, 52
1.264, 75.2, 35
2.941, 30.4, 23
1.554, 59.5, 17
1.250, 76.2, 17
4.560, 19.5, 11
1.520, 61.0, 8
1.099, 89.1, 6
1.582, 58.3, 5

***

The following is a simulated X-ray diffraction stick pattern of Y2Mn16W. It was derived from a cell relaxed with PBE, using Cu Ka.

Crystal structure
Unit cell a=6.3733 b=6.3733 c=6.3733 alpha=85.98 beta=85.98 gamma=85.98
Element x y z (fractional)
Y 0.0000 0.0000 0.0000
Y 0.2891 0.2891 0.2891
Mn 0.0010 0.0010 0.5215
Mn 0.0010 0.5215 0.0010
Mn 0.1457 0.6461 0.6461
Mn 0.2869 0.2869 0.7719
Mn 0.2869 0.7719 0.2869
Mn 0.3698 0.6491 0.9256
Mn 0.3698 0.9256 0.6491
Mn 0.5215 0.0010 0.0010
Mn 0.6461 0.1457 0.6461
Mn 0.6461 0.6461 0.1457
Mn 0.6491 0.3698 0.9256
Mn 0.6491 0.9256 0.3698
Mn 0.7518 0.7518 0.7518
Mn 0.7719 0.2869 0.2869
Mn 0.9256 0.3698 0.6491
Mn 0.9256 0.6491 0.3698
W 0.5479 0.5479 0.5479

The 10 most intense peaks (2θ = 10–90°), in order of falling intensity:
d/Å, Position (°2θ), I/Imax
2.173, 41.6, 100
2.320, 38.8, 71
2.115, 42.8, 68
6.344, 14.0, 63
2.509, 35.8, 55
1.902, 47.8, 50
1.998, 45.4, 44
2.047, 44.3, 36
1.791, 51.0, 34
1.160, 83.3, 25

***

The following is a simulated X-ray diffraction stick pattern of Y5Mn4. It was derived from a cell relaxed with PBE, using Cu Ka.

Crystal structure
Unit cell a=8.7924 b=8.7924 c=6.4107 alpha=90.00 beta=90.00 gamma=120.00
Element x y z (fractional)
Y 0.0000 0.2851 0.2500
Y 0.0000 0.7149 0.7500
Y 0.2851 0.0000 0.2500
Y 0.2851 0.2851 0.7500
Y 0.3333 0.6667 0.0000
Y 0.3333 0.6667 0.5000
Y 0.6667 0.3333 0.0000
Y 0.6667 0.3333 0.5000
Y 0.7149 0.0000 0.7500
Y 0.7149 0.7149 0.2500
Mn 0.0000 0.0000 0.0000
Mn 0.0000 0.0000 0.5000
Mn 0.0000 0.3685 0.7500
Mn 0.0000 0.6315 0.2500
Mn 0.3685 0.0000 0.7500
Mn 0.3685 0.3685 0.2500
Mn 0.6315 0.0000 0.2500
Mn 0.6315 0.6315 0.7500

The 10 most intense peaks (2θ = 10–90°), in order of falling intensity:
d/Å, Position (°2θ), I/Imax
2.590, 34.6, 100
2.538, 35.4, 83
2.626, 34.1, 31
1.813, 50.3, 29
1.355, 69.3, 21
1.475, 63.0, 20
1.338, 70.4, 9
1.603, 57.5, 9
1.685, 54.4, 8
1.716, 53.4, 8

***

The following is a simulated X-ray diffraction stick pattern of Mn3Zn5. It was derived from a cell relaxed with PBE, using Cu Ka.

Crystal structure
Unit cell a=5.2175 b=6.9747 c=6.9857 alpha=85.04 beta=69.90 gamma=70.20
Element x y z (fractional)
Mn 0.0104 0.0819 0.1682
Mn 0.2502 0.5460 0.9543
Mn 0.4887 0.3327 0.4191
Mn 0.5113 0.6673 0.5809
Mn 0.7498 0.4540 0.0457
Mn 0.9896 0.9181 0.8318
Zn 0.0056 0.5845 0.6740
Zn 0.2387 0.2047 0.8006
Zn 0.2506 0.0380 0.4608
Zn 0.2608 0.6990 0.2958
Zn 0.4935 0.8262 0.9159
Zn 0.5065 0.1738 0.0841
Zn 0.7392 0.3010 0.7042
Zn 0.7494 0.9620 0.5392
Zn 0.7613 0.7953 0.1994
Zn 0.9944 0.4155 0.3260

The 10 most intense peaks (2θ = 10–90°), in order of falling intensity:
d/Å, Position (°2θ), I/Imax
2.079, 43.5, 100
2.053, 44.1, 90
2.215, 40.7, 79
2.085, 43.4, 53
2.333, 38.6, 53
2.073, 43.7, 46
2.359, 38.2, 18
1.254, 75.9, 16
1.596, 57.8, 15
1.358, 69.2, 15

***

The following is a simulated X-ray diffraction stick pattern of Mn2Zn5. It was derived from a cell relaxed with PBE, using Cu Ka.

Crystal structure
Unit cell a=6.4470 b=6.4470 c=6.9953 alpha=92.84 beta=92.84 gamma=43.12
Element x y z (fractional)
Mn 0.0916 0.7666 0.8932
Mn 0.2334 0.9084 0.6068
Mn 0.7666 0.0916 0.3932
Mn 0.9084 0.2334 0.1068
Zn 0.0520 0.3759 0.8260
Zn 0.1928 0.5300 0.5426
Zn 0.3291 0.6709 0.2500
Zn 0.3759 0.0520 0.3260
Zn 0.4700 0.8072 0.9574
Zn 0.5300 0.1928 0.0426
Zn 0.6241 0.9480 0.6740
Zn 0.6709 0.3291 0.7500
Zn 0.8072 0.4700 0.4574
Zn 0.9480 0.6241 0.1740

The 10 most intense peaks (2θ = 10–90°), in order of falling intensity:
d/Å, Position (°2θ), I/Imax
2.074, 43.7, 100
2.089, 43.3, 53
2.215, 40.7, 41
2.346, 38.4, 25
1.363, 68.9, 16
2.369, 38.0, 12
1.162, 83.1, 9
1.160, 83.3, 9
1.253, 75.9, 9
1.249, 76.3, 8

***

The following is a simulated X-ray diffraction stick pattern of Mn4Zn. It was derived from a cell relaxed with PBE, using Cu Ka.

Crystal structure
Unit cell a=4.3386 b=4.3386 c=4.3386 alpha=100.06 beta=100.06 gamma=130.60
Element x y z (fractional)
Mn 0.0840 0.3008 0.3848
Mn 0.3008 0.9160 0.2168
Mn 0.6992 0.0840 0.7832
Mn 0.9160 0.6992 0.6152
Zn 0.5000 0.5000 0.0000

The 10 most intense peaks (2θ = 10–90°), in order of falling intensity:
d/Å, Position (°2θ), I/Imax
2.054, 44.1, 100
1.763, 51.9, 29
1.264, 75.2, 17
1.813, 50.3, 16
1.246, 76.4, 8
2.787, 32.1, 2
1.267, 75.0, 1
1.520, 61.0, 1
1.314, 71.9, 1
1.422, 65.6, 1

***

The following is a simulated X-ray diffraction stick pattern of Mn2Zn3. It was derived from a cell relaxed with PBE, using Cu Ka.

Crystal structure
Unit cell a=6.8609 b=5.1261 c=7.7935 alpha=60.01 beta=40.32 gamma=79.67
Element x y z (fractional)
Mn 0.2667 0.7333 0.3348
Mn 0.5848 0.9152 0.5167
Mn 0.7333 0.2667 0.6652
Mn 0.9152 0.5848 0.9833
Zn 0.1222 0.8214 0.0850
Zn 0.1650 0.2786 0.1278
Zn 0.2786 0.1650 0.4286
Zn 0.4200 0.4200 0.5800
Zn 0.6700 0.6700 0.8300
Zn 0.8214 0.1222 0.9714

The 10 most intense peaks (2θ = 10–90°), in order of falling intensity:
d/Å, Position (°2θ), I/Imax
2.206, 40.9, 100
2.189, 41.2, 74
2.195, 41.1, 33
1.809, 50.5, 33
2.109, 42.9, 28
2.234, 40.4, 21
2.071, 43.7, 18
1.256, 75.7, 16
1.383, 67.7, 15
1.228, 77.8, 11

***

The following is a simulated X-ray diffraction stick pattern of Mn3Zn8. It was derived from a cell relaxed with PBE, using Cu Ka.

Crystal structure
Unit cell a=5.7333 b=5.7333 c=5.7333 alpha=101.34 beta=101.34 gamma=101.34
Element x y z (fractional)
Mn 0.0000 0.5000 0.5000
Mn 0.5000 0.0000 0.5000
Mn 0.5000 0.5000 0.0000
Zn 0.1656 0.1656 0.6704
Zn 0.1656 0.6704 0.1656
Zn 0.1977 0.1977 0.1977
Zn 0.3296 0.8344 0.8344
Zn 0.6704 0.1656 0.1656
Zn 0.8023 0.8023 0.8023
Zn 0.8344 0.3296 0.8344
Zn 0.8344 0.8344 0.3296

The 10 most intense peaks (2θ = 10–90°), in order of falling intensity:
d/Å, Position (°2θ), I/Imax
2.217, 40.7, 100
2.229, 40.5, 38
1.681, 54.6, 33
2.578, 34.8, 22
1.817, 50.2, 20
1.405, 66.5, 16
1.280, 74.1, 15
1.114, 87.5, 15
2.724, 32.9, 10
1.109, 88.1, 9

***

The following is a simulated X-ray diffraction stick pattern of MnZn3. It was derived from a cell relaxed with PBE, using Cu Ka.

Crystal structure
Unit cell a=3.8276 b=3.8276 c=3.8276 alpha=90.00 beta=90.00 gamma=90.00
Element x y z (fractional)
Mn 0.0000 0.0000 0.0000
Zn 0.0000 0.5000 0.5000
Zn 0.5000 0.0000 0.5000
Zn 0.5000 0.5000 0.0000

The 8 most intense peaks (2θ = 10–90°), in order of falling intensity:
d/Å, Position (°2θ), I/Imax
2.210, 40.8, 100
1.914, 47.5, 47
1.154, 83.8, 33
1.353, 69.5, 28
1.105, 88.5, 10
3.828, 23.2, 1
2.707, 33.1, 1
1.712, 53.5, 1

***

The following is a simulated X-ray diffraction stick pattern of Mn24Zn5. It was derived from a cell relaxed with PBE, using Cu Ka.

Crystal structure
Unit cell a=7.5493 b=7.5493 c=7.5493 alpha=109.47 beta=109.47 gamma=109.47
Element x y z (fractional)
Mn 0.0000 0.3264 0.6149
Mn 0.0000 0.6149 0.3264
Mn 0.0000 0.6248 0.8048
Mn 0.0000 0.8048 0.6248
Mn 0.1800 0.3752 0.3752
Mn 0.1952 0.1952 0.8200
Mn 0.1952 0.8200 0.1952
Mn 0.2885 0.6736 0.6736
Mn 0.3264 0.0000 0.6149
Mn 0.3264 0.6149 0.0000
Mn 0.3752 0.1800 0.3752
Mn 0.3752 0.3752 0.1800
Mn 0.3851 0.3851 0.7115
Mn 0.3851 0.7115 0.3851
Mn 0.6149 0.0000 0.3264
Mn 0.6149 0.3264 0.0000
Mn 0.6248 0.0000 0.8048
Mn 0.6248 0.8048 0.0000
Mn 0.6736 0.2885 0.6736
Mn 0.6736 0.6736 0.2885
Mn 0.7115 0.3851 0.3851
Mn 0.8048 0.0000 0.6248
Mn 0.8048 0.6248 0.0000
Mn 0.8200 0.1952 0.1952
Zn 0.0000 0.0000 0.0000
Zn 0.0000 0.0000 0.3630
Zn 0.0000 0.3630 0.0000
Zn 0.3630 0.0000 0.0000
Zn 0.6370 0.6370 0.6370

The 10 most intense peaks (2θ = 10–90°), in order of falling intensity:
d/Å, Position (°2θ), I/Imax
2.055, 44.1, 100
1.186, 81.1, 22
1.859, 49.0, 19
1.710, 53.6, 10
1.779, 51.3, 9
1.233, 77.4, 7
1.258, 75.6, 5
2.179, 41.4, 4
1.107, 88.3, 3
2.330, 38.6, 2

***

The following is a simulated X-ray diffraction stick pattern of MnZn2. It was derived from a cell relaxed with PBE, using Cu Ka.

Crystal structure
Unit cell a=2.7272 b=2.7272 c=6.5949 alpha=90.00 beta=90.00 gamma=120.00
Element x y z (fractional)
Mn 0.0000 0.0000 0.0000
Zn 0.3333 0.6667 0.6731
Zn 0.6667 0.3333 0.3269

The 10 most intense peaks (2θ = 10–90°), in order of falling intensity:
d/Å, Position (°2θ), I/Imax
2.224, 40.6, 100
1.920, 47.3, 62
2.198, 41.1, 32
1.159, 83.4, 21
1.364, 68.9, 19
1.352, 69.5, 18
1.162, 83.1, 11
1.152, 84.0, 10
1.112, 87.8, 9
1.099, 89.1, 3

***

The following is a simulated X-ray diffraction stick pattern of Mn3Zn4. It was derived from a cell relaxed with PBE, using Cu Ka.

Crystal structure
Unit cell a=12.8675 b=12.8675 c=12.8675 alpha=167.60 beta=167.60 gamma=17.57
Element x y z (fractional)
Mn 0.0000 0.0000 0.0000
Mn 0.2854 0.2854 0.0000
Mn 0.7146 0.7146 0.0000
Zn 0.1432 0.1432 0.0000
Zn 0.4310 0.4310 0.0000
Zn 0.5690 0.5690 0.0000
Zn 0.8568 0.8568 0.0000

The 10 most intense peaks (2θ = 10–90°), in order of falling intensity:
d/Å, Position (°2θ), I/Imax
2.208, 40.9, 100
1.965, 46.2, 35
1.176, 81.9, 23
1.334, 70.6, 17
1.817, 50.2, 13
1.390, 67.4, 10
1.104, 88.6, 9
1.110, 88.0, 9
2.641, 33.9, 1
6.358, 13.9, 1

***

The following is a simulated X-ray diffraction stick pattern of MnZn11. It was derived from a cell relaxed with PBE, using Cu Ka.

Crystal structure
Unit cell a=8.1954 b=8.1954 c=8.1954 alpha=99.82 beta=99.82 gamma=131.23
Element x y z (fractional)
Mn 0.3750 0.6250 0.7500
Mn 0.6250 0.3750 0.2500
Zn 0.0000 0.0000 0.0000
Zn 0.0000 0.0000 0.5000
Zn 0.0000 0.5000 0.0000
Zn 0.1250 0.8750 0.2500
Zn 0.1280 0.5535 0.3332
Zn 0.1280 0.7948 0.5745
Zn 0.2052 0.2797 0.3332
Zn 0.2052 0.8720 0.9255
Zn 0.2797 0.2052 0.8332
Zn 0.2797 0.4465 0.0745
Zn 0.4465 0.2797 0.5745
Zn 0.4465 0.8720 0.1668
Zn 0.5000 0.0000 0.5000
Zn 0.5535 0.1280 0.8332
Zn 0.5535 0.7203 0.4255
Zn 0.7203 0.5535 0.9255
Zn 0.7203 0.7948 0.1668
Zn 0.7948 0.1280 0.0745
Zn 0.7948 0.7203 0.6668
Zn 0.8720 0.2052 0.4255
Zn 0.8720 0.4465 0.6668
Zn 0.8750 0.1250 0.7500

The 10 most intense peaks (2θ = 10–90°), in order of falling intensity:
d/Å, Position (°2θ), I/Imax
2.015, 45.0, 100
2.376, 37.9, 77
2.360, 38.1, 58
1.936, 46.9, 35
2.035, 44.5, 35
2.206, 40.9, 26
2.687, 33.3, 25
1.366, 68.7, 24
2.081, 43.5, 15
5.278, 16.8, 15